The following is a calculated powder X-ray diffraction pattern of Na6Al4FeSi8O26. It was derived from a DFT-relaxed cell (GGA+U, the Materials Project), using CuKα.

Structure:
Cell: 8.6041 8.6041 10.5901 Å, 111.04 111.04 56.19°
Positions (direct):
Na  0.0330  0.0330  0.3367
Na  0.2304  0.2304  0.9386
Na  0.3482  0.3482  0.6148
Na  0.6518  0.6518  0.3852
Na  0.7696  0.7696  0.0614
Na  0.9670  0.9670  0.6633
Al  0.2444  0.6388  0.1572
Al  0.3612  0.7556  0.8428
Al  0.6388  0.2444  0.1572
Al  0.7556  0.3612  0.8428
Fe  0.5000  0.5000  0.5000
Si  0.0404  0.6538  0.3665
Si  0.0474  0.6620  0.8459
Si  0.3380  0.9526  0.1541
Si  0.3462  0.9596  0.6335
Si  0.6538  0.0404  0.3665
Si  0.6620  0.0474  0.8459
Si  0.9526  0.3380  0.1541
Si  0.9596  0.3462  0.6335
O  0.0515  0.4925  0.7076
O  0.0683  0.7043  0.2440
O  0.1427  0.1427  0.5672
O  0.1458  0.7607  0.8225
O  0.1522  0.5643  0.9809
O  0.1780  0.1780  0.1399
O  0.2220  0.5782  0.4880
O  0.2393  0.8542  0.1775
O  0.2957  0.9317  0.7560
O  0.4218  0.7780  0.5120
O  0.4357  0.8478  0.0191
O  0.4682  0.4682  0.2251
O  0.4925  0.0515  0.7076
O  0.5075  0.9485  0.2924
O  0.5318  0.5318  0.7749
O  0.5643  0.1522  0.9809
O  0.5782  0.2220  0.4880
O  0.7043  0.0683  0.2440
O  0.7607  0.1458  0.8225
O  0.7780  0.4218  0.5120
O  0.8220  0.8220  0.8601
O  0.8478  0.4357  0.0191
O  0.8542  0.2393  0.1775
O  0.8573  0.8573  0.4328
O  0.9317  0.2957  0.7560
O  0.9485  0.5075  0.2924

Most intense lines, 2θ = 10–90°, most intense first:
d_spacing  2theta  I_rel
3.644  24.43  100.0
3.106  28.74  81.2
3.093  28.87  68.1
4.052  21.94  59.5
3.525  25.27  59.2
3.594  24.77  54.0

---

The following is a calculated powder X-ray diffraction pattern of Na6Al4FeSi8O26. It was derived from a DFT-relaxed cell (GGA+U, the Materials Project), using CuKα.

Structure:
Cell: 8.0931 8.6034 10.6013 Å, 69.20 89.88 62.14°
Positions (direct):
Na  0.0000  0.0000  0.0000
Na  0.0585  0.8651  0.6688
Na  0.2612  0.4729  0.2766
Na  0.3822  0.2500  0.9428
Na  0.7020  0.6165  0.7253
Na  0.8023  0.3931  0.3914
Al  0.0923  0.2211  0.1829
Al  0.3791  0.6451  0.4864
Al  0.6700  0.0523  0.4894
Al  0.7906  0.8140  0.1767
Fe  0.5497  0.9329  0.8350
Si  0.0066  0.6291  0.9652
Si  0.0845  0.2348  0.7031
Si  0.2802  0.0529  0.4936
Si  0.3902  0.6304  0.9673
Si  0.4021  0.8124  0.1766
Si  0.6933  0.2257  0.1822
Si  0.6986  0.2382  0.7009
Si  0.9848  0.6399  0.4847
O  0.1066  0.3950  0.0408
O  0.1206  0.1507  0.5808
O  0.1830  0.6670  0.9002
O  0.2016  0.2085  0.3336
O  0.2039  0.5833  0.4683
O  0.2063  0.0074  0.1569
O  0.2639  0.1360  0.8218
O  0.2785  0.8577  0.5137
O  0.3408  0.7120  0.0909
O  0.4765  0.7298  0.8524
O  0.4787  0.6578  0.3367
O  0.4890  0.0093  0.5560
O  0.5237  0.3940  0.0442
O  0.5659  0.4721  0.6285
O  0.5665  0.8564  0.1117
O  0.5904  0.2172  0.3156
O  0.6251  0.1321  0.8249
O  0.7425  0.1546  0.5793
O  0.7803  0.0305  0.1550
O  0.8331  0.7349  0.8379
O  0.8551  0.2829  0.1998
O  0.8751  0.8360  0.5107
O  0.8763  0.6481  0.3504
O  0.9109  0.1991  0.7679
O  0.9643  0.7149  0.0855
O  0.9824  0.4713  0.6228

Most intense lines, 2θ = 10–90°, most intense first:
d_spacing  2theta  I_rel
3.660  24.32  100.0
3.108  28.72  98.3
4.044  21.98  83.7
3.525  25.26  63.5
3.594  24.77  57.6
7.188  12.31  42.8